(1)
This entry pairs a crystal structure of AcPd3O4 with its simulated X-ray diffraction stick pattern. Radiation: a wavelength of 1.5418 Å. Structure: a cell relaxed with PBE.
Intensities are scaled so that the largest is 100.

Main lines, by angle (2θ from 10° to 90°):
| index | 2θ (°) | intensity |
| --- | --- | --- |
| 1 1 0 | 20.8 | 22 |
| 2 0 0 | 29.5 | 27 |
| 2 1 0 | 33.1 | 56 |
| 2 1 1 | 36.4 | 100 |
| 3 2 1 | 57.0 | 56 |
| 4 0 0 | 61.3 | 18 |

Structural model:
a b c (Å): 6.0497 6.0497 6.0497
angles (deg): 90.00 90.00 90.00
Positions (direct):
Ac 0.0000 0.0000 0.0000
Ac 0.5000 0.5000 0.5000
Pd 0.0000 0.2500 0.5000
Pd 0.0000 0.7500 0.5000
Pd 0.2500 0.5000 0.0000
Pd 0.5000 0.0000 0.2500
Pd 0.5000 0.0000 0.7500
Pd 0.7500 0.5000 0.0000
O 0.2500 0.2500 0.2500
O 0.2500 0.2500 0.7500
O 0.2500 0.7500 0.2500
O 0.2500 0.7500 0.7500
O 0.7500 0.2500 0.2500
O 0.7500 0.2500 0.7500
O 0.7500 0.7500 0.2500
O 0.7500 0.7500 0.7500

***

(2)
This entry pairs a crystal structure of CsTlBiTe3 with its simulated X-ray diffraction stick pattern. Radiation: a wavelength of 1.5418 Å. Structure: a cell relaxed with PBE.
Intensities are scaled so that the largest is 100.

Main lines, by angle (2θ from 10° to 90°):
| index | 2θ (°) | intensity |
| --- | --- | --- |
| 1 0 -1 | 10.3 | 100 |
| 2 1 -1 | 26.0 | 75 |
| 2 1 0 | 26.5 | 54 |
| 1 0 3 | 28.6 | 54 |
| 1 1 -3 | 30.1 | 37 |
| 0 2 0 | 38.1 | 33 |

Structural model:
a b c (Å): 10.0233 4.7261 11.5068
angles (deg): 90.00 107.48 90.00
Positions (direct):
Cs 0.2241 0.2500 0.2597
Cs 0.7759 0.7500 0.7403
Tl 0.0723 0.2500 0.6233
Tl 0.9277 0.7500 0.3767
Bi 0.3266 0.7500 0.8824
Bi 0.6734 0.2500 0.1176
Te 0.1166 0.2500 0.8985
Te 0.2390 0.7500 0.5673
Te 0.4745 0.7500 0.1544
Te 0.5255 0.2500 0.8456
Te 0.7610 0.2500 0.4327
Te 0.8834 0.7500 0.1015

***

(3)
This entry pairs a crystal structure of TbPm4Ho2 with its simulated X-ray diffraction stick pattern. Radiation: a wavelength of 1.5418 Å. Structure: a cell relaxed with PBE.
Intensities are scaled so that the largest is 100.

Main lines, by angle (2θ from 10° to 90°):
| index | 2θ (°) | intensity |
| --- | --- | --- |
| 2 0 -1 | 28.7 | 48 |
| 1 0 3 | 31.2 | 81 |
| 0 2 2 | 31.3 | 55 |
| 1 0 -4 | 31.5 | 77 |
| 2 1 0 | 32.8 | 100 |
| 1 2 -2 | 32.9 | 82 |

Structural model:
a b c (Å): 6.2144 6.6227 11.6376
angles (deg): 90.00 104.89 90.00
Positions (direct):
Tb 0.1527 0.2500 0.1623
Tb 0.8473 0.7500 0.8377
Pm 0.0350 0.2500 0.8621
Pm 0.1496 0.2500 0.4494
Pm 0.3516 0.5081 0.7145
Pm 0.3516 0.9919 0.7145
Pm 0.6484 0.0081 0.2855
Pm 0.6484 0.4919 0.2855
Pm 0.8504 0.7500 0.5506
Pm 0.9650 0.7500 0.1379
Ho 0.2893 0.7500 0.4254
Ho 0.3933 0.7500 0.0041
Ho 0.6067 0.2500 0.9959
Ho 0.7107 0.2500 0.5746

***

(4)
This entry pairs a crystal structure of Nd6AlHg5 with its simulated X-ray diffraction stick pattern. Radiation: a wavelength of 1.5418 Å. Structure: a cell relaxed with PBE.
Intensities are scaled so that the largest is 100.

Main lines, by angle (2θ from 10° to 90°):
| index | 2θ (°) | intensity |
| --- | --- | --- |
| 1 2 1 | 33.1 | 100 |
| 0 0 3 | 33.3 | 49 |
| 0 4 0 | 47.2 | 9 |
| 0 4 3 | 58.9 | 19 |
| 3 2 0 | 59.3 | 28 |
| 3 2 -3 | 59.4 | 9 |

Structural model:
a b c (Å): 5.3835 7.7070 8.5139
angles (deg): 90.00 108.28 90.00
Positions (direct):
Nd 0.0000 0.2451 0.0000
Nd 0.0000 0.7549 0.0000
Nd 0.3344 0.2462 0.6709
Nd 0.3344 0.7538 0.6709
Nd 0.6656 0.2462 0.3291
Nd 0.6656 0.7538 0.3291
Al 0.5000 0.0000 0.0000
Hg 0.1678 0.0000 0.3316
Hg 0.1676 0.5000 0.3336
Hg 0.5000 0.5000 0.0000
Hg 0.8322 0.0000 0.6684
Hg 0.8324 0.5000 0.6664

***

(5)
This entry pairs a crystal structure of MnGa2Cu4 with its simulated X-ray diffraction stick pattern. Radiation: a wavelength of 1.5418 Å. Structure: a cell relaxed with PBE.
Intensities are scaled so that the largest is 100.

Main lines, by angle (2θ from 10° to 90°):
| index | 2θ (°) | intensity |
| --- | --- | --- |
| 1 1 0 | 41.3 | 22 |
| 0 1 7 | 42.4 | 100 |
| 1 1 2 | 42.7 | 54 |
| 1 0 5 | 43.2 | 28 |
| 0 2 0 | 45.2 | 48 |
| 1 1 4 | 46.4 | 49 |

Structural model:
a b c (Å): 2.6037 4.0105 17.6355
angles (deg): 90.00 90.00 90.00
Positions (direct):
Mn 0.0000 0.0000 0.0000
Mn 0.5000 0.5000 0.5000
Ga 0.0000 0.0000 0.4191
Ga 0.0000 0.0000 0.5809
Ga 0.5000 0.5000 0.0809
Ga 0.5000 0.5000 0.9191
Cu 0.0000 0.0000 0.1438
Cu 0.0000 0.0000 0.8562
Cu 0.0000 0.5000 0.2277
Cu 0.0000 0.5000 0.7723
Cu 0.5000 0.0000 0.2723
Cu 0.5000 0.0000 0.7277
Cu 0.5000 0.5000 0.3562
Cu 0.5000 0.5000 0.6438

***

(6)
This entry pairs a crystal structure of LaTbSm with its simulated X-ray diffraction stick pattern. Radiation: a wavelength of 1.5418 Å. Structure: a cell relaxed with PBE.
Intensities are scaled so that the largest is 100.

Main lines, by angle (2θ from 10° to 90°):
| index | 2θ (°) | intensity |
| --- | --- | --- |
| 1 0 1 | 28.7 | 23 |
| 0 0 6 | 30.0 | 100 |
| 1 0 3 | 32.1 | 73 |
| 1 0 4 | 34.8 | 34 |
| 1 1 0 | 50.0 | 46 |
| 1 1 6 | 59.4 | 41 |

Structural model:
a b c (Å): 3.6454 3.6454 17.9021
angles (deg): 90.00 90.00 120.00
Positions (direct):
La 0.0000 0.0000 0.0000
La 0.0000 0.0000 0.5000
Tb 0.3333 0.6667 0.1683
Tb 0.6667 0.3333 0.6683
Sm 0.3333 0.6667 0.8282
Sm 0.6667 0.3333 0.3282